1.
For Cs2Au2Br7, a GGA-PBE-relaxed structure gives the computed XRD peak list in this record (Cu Kα (weighted mean of Kα1 and Kα2)).
Intensities are scaled so that the largest is 100.

Structural model:
Cell: 9.820 9.820 5.467 Å, 97.88 97.88 113.92°
Element x y z (fractional)
1 Cs 0.205 0.795 0.000
2 Cs 0.795 0.205 0.000
3 Au 0.282 0.282 0.641
4 Au 0.718 0.718 0.359
5 Br 0.104 0.104 0.879
6 Br 0.118 0.419 0.615
7 Br 0.419 0.118 0.615
8 Br 0.500 0.500 0.500
9 Br 0.581 0.882 0.385
10 Br 0.882 0.581 0.385
11 Br 0.896 0.896 0.121

Top 10 peaks for 10 to 90 degrees two-theta, by angle:
Position (°2θ), Rel. int.
10.75, 33
19.95, 22
20.25, 21
20.76, 44
21.38, 100
32.64, 23
34.32, 34
36.24, 22
37.68, 21
54.43, 26

***

2.
For Cs4Au2Br, a GGA-PBE-relaxed structure gives the computed XRD peak list in this record (Cu Kα (weighted mean of Kα1 and Kα2)).
Intensities are scaled so that the largest is 100.

Structural model:
Cell: 17.691 17.691 17.691 Å, 16.99 16.99 16.99°
Element x y z (fractional)
1 Cs 0.121 0.121 0.121
2 Cs 0.293 0.293 0.293
3 Cs 0.707 0.707 0.707
4 Cs 0.879 0.879 0.879
5 Au 0.416 0.416 0.416
6 Au 0.584 0.584 0.584
7 Br 0.000 0.000 0.000

Top 10 peaks for 10 to 90 degrees two-theta, by angle:
Position (°2θ), Rel. int.
10.15, 33
22.97, 100
26.03, 39
34.30, 54
35.27, 44
41.69, 21
50.02, 16
54.85, 25
55.05, 18
62.06, 17